Pr3Au4S: simulated XRD peak list (λ = 1.5418 Å (Cu Kα)), based on the PBE geometry in OQMD.

Principal peaks in the range 15 to 90 degrees two-theta, by angle:
two_theta, d (Å), I_rel, (hkl)
22.19, 4.006, 15, 2 0 0
28.85, 3.094, 35, 0 0 2
31.58, 2.833, 100, 2 2 0
33.02, 2.713, 27, 1 1 2
36.71, 2.448, 86, 2 0 2
43.32, 2.089, 27, 2 2 2
45.27, 2.003, 34, 4 0 0
46.34, 1.959, 17, 3 1 2
59.64, 1.550, 37, 4 2 2
69.26, 1.357, 21, 2 2 4

Crystal structure
```
data_Pr3Au4S
_chemical_formula_sum 'Pr6 Au8 S2'
_cell_length_a 8.013
_cell_length_b 8.013
_cell_length_c 6.181
_cell_angle_alpha 90.00
_cell_angle_beta 90.00
_cell_angle_gamma 90.00
_symmetry_space_group_name_H-M 'I -4 2 m'
_symmetry_Int_Tables_number 121
_symmetry_space_group_name_Hall 'I -4 2'
loop_
_atom_site_label
_atom_site_fract_x
_atom_site_fract_y
_atom_site_fract_z
Pr1 0.000 0.000 0.000
Pr2 0.000 0.500 0.250
Au1 0.230 0.230 0.498
S1 0.000 0.000 0.500
```

---

TbGdB2Pd2N2: simulated XRD peak list (λ = 1.5418 Å (Cu Kα)), based on the PBE geometry in OQMD.

Principal peaks in the range 15 to 90 degrees two-theta, by angle:
two_theta, d (Å), I_rel, (hkl)
26.67, 3.343, 75, 1 0 1
33.62, 2.665, 56, 1 0 2
35.20, 2.550, 51, 0 0 3
36.14, 2.485, 100, 1 1 1
41.70, 2.166, 61, 1 1 2
49.02, 1.858, 44, 2 0 0
56.67, 1.624, 20, 2 1 1
59.81, 1.546, 27, 1 1 4
60.76, 1.524, 21, 2 1 2
61.77, 1.502, 39, 2 0 3

Crystal structure
```
data_TbGdB2Pd2N2
_chemical_formula_sum 'Tb1 Gd1 B2 Pd2 N2'
_cell_length_a 3.717
_cell_length_b 3.717
_cell_length_c 7.649
_cell_angle_alpha 90.00
_cell_angle_beta 90.00
_cell_angle_gamma 90.00
_symmetry_space_group_name_H-M 'P 4 m m'
_symmetry_Int_Tables_number 99
loop_
_symmetry_equiv_pos_as_xyz
'x,y,z'
'-y,x,z'
'-x,-y,z'
'y,-x,z'
'-x,y,z'
'y,x,z'
'x,-y,z'
'-y,-x,z'
loop_
_atom_site_label
_atom_site_fract_x
_atom_site_fract_y
_atom_site_fract_z
Tb1 0.000 0.000 0.000
Gd1 0.500 0.500 0.325
B1 0.000 0.000 0.489
B2 0.500 0.500 0.835
Pd1 0.000 0.500 0.663
N1 0.000 0.000 0.302
N2 0.500 0.500 0.021
```

---

BaSrCu2: simulated XRD peak list (λ = 1.5418 Å (Cu Kα)), based on the PBE geometry in OQMD.

Principal peaks in the range 15 to 90 degrees two-theta, by angle:
two_theta, d (Å), I_rel, (hkl)
24.24, 3.671, 20, 1 0 1
29.22, 3.056, 100, 1 0 3
33.01, 2.714, 33, 1 0 4
37.38, 2.406, 33, 1 0 5
41.40, 2.181, 56, 1 1 0
43.07, 2.100, 12, 1 1 2
51.48, 1.775, 20, 2 0 3
54.95, 1.671, 14, 1 1 6
64.05, 1.454, 27, 1 1 8
68.11, 1.377, 17, 2 1 3

Crystal structure
```
data_BaSrCu2
_chemical_formula_sum 'Ba2 Sr2 Cu4'
_cell_length_a 4.3615
_cell_length_b 4.3615
_cell_length_c 15.6031
_cell_angle_alpha 90.00
_cell_angle_beta 90.00
_cell_angle_gamma 120.00
_symmetry_space_group_name_H-M 'P 63 m c'
_symmetry_Int_Tables_number 186
_symmetry_space_group_name_Hall 'P 6c -2c'
loop_
_atom_site_label
_atom_site_fract_x
_atom_site_fract_y
_atom_site_fract_z
Ba1 0.3333 0.6667 0.0000
Sr1 0.3333 0.6667 0.7383
Cu1 0.0000 0.0000 0.3637
Cu2 0.3333 0.6667 0.3637
```

---

Li4MgSn2Hg: simulated XRD peak list (λ = 1.5418 Å (Cu Kα)), based on the PBE geometry in OQMD.

Principal peaks in the range 15 to 90 degrees two-theta, by angle:
two_theta, d (Å), I_rel, (hkl)
18.52, 4.791, 24, 1 0 0
22.81, 3.898, 100, 1 0 1
29.54, 3.024, 19, 1 1 1
32.59, 2.747, 13, 1 0 2
37.55, 2.395, 34, 2 0 0
37.75, 2.383, 66, 1 1 2
44.39, 2.041, 36, 2 1 1
44.73, 2.026, 17, 1 0 3
59.78, 1.547, 15, 2 1 3
67.89, 1.381, 25, 3 1 2

Crystal structure
```
data_Li4MgSn2Hg
_chemical_formula_sum 'Li4 Mg1 Sn2 Hg1'
_cell_length_a 4.791
_cell_length_b 4.791
_cell_length_c 6.707
_cell_angle_alpha 90.00
_cell_angle_beta 90.00
_cell_angle_gamma 90.00
_symmetry_space_group_name_H-M 'P -4 m 2'
_symmetry_Int_Tables_number 115
loop_
_symmetry_equiv_pos_as_xyz
'x,y,z'
'y,-x,-z'
'-x,-y,z'
'-y,x,-z'
'-x,y,z'
'-y,-x,-z'
'x,-y,z'
'y,x,-z'
loop_
_atom_site_label
_atom_site_fract_x
_atom_site_fract_y
_atom_site_fract_z
Li1 0.000 0.000 0.000
Li2 0.000 0.500 0.231
Li3 0.500 0.500 0.500
Mg1 0.000 0.000 0.500
Sn1 0.000 0.500 0.740
Hg1 0.500 0.500 0.000
```

---

CoCu2Sn: simulated XRD peak list (λ = 1.5418 Å (Cu Kα)), based on the PBE geometry in OQMD.

Principal peaks in the range 15 to 90 degrees two-theta, by angle:
two_theta, d (Å), I_rel, (hkl)
25.67, 3.470, 7, 1 1 1
29.73, 3.005, 4, 2 0 0
42.54, 2.125, 100, 2 2 0
50.35, 1.812, 4, 3 1 1
52.76, 1.735, 1, 2 2 2
61.74, 1.503, 16, 4 0 0
67.99, 1.379, 2, 3 3 1
70.01, 1.344, 2, 4 2 0
77.86, 1.227, 32, 4 2 2
83.59, 1.157, 2, 5 1 1

Crystal structure
```
data_CoCu2Sn
_chemical_formula_sum 'Co4 Cu8 Sn4'
_cell_length_a 6.010
_cell_length_b 6.010
_cell_length_c 6.010
_cell_angle_alpha 90.00
_cell_angle_beta 90.00
_cell_angle_gamma 90.00
_symmetry_space_group_name_H-M 'F -4 3 m'
_symmetry_Int_Tables_number 216
_symmetry_space_group_name_Hall 'F -4 2 3'
loop_
_atom_site_label
_atom_site_fract_x
_atom_site_fract_y
_atom_site_fract_z
Co1 0.000 0.000 0.000
Cu1 0.000 0.000 0.500
Cu2 0.250 0.250 0.250
Sn1 0.250 0.250 0.750
```

---

SrRe2O8: simulated XRD peak list (λ = 1.5418 Å (Cu Kα)), based on the PBE geometry in OQMD.

Principal peaks in the range 15 to 90 degrees two-theta, by angle:
two_theta, d (Å), I_rel, (hkl)
21.31, 4.170, 89, 1 1 1
23.34, 3.812, 100, 1 2 -1
23.41, 3.800, 60, 1 1 -3
23.92, 3.721, 38, 1 2 0
24.88, 3.578, 52, 1 2 -2
28.29, 3.154, 57, 0 3 1
28.85, 3.095, 20, 0 0 4
29.28, 3.051, 46, 2 0 -2
41.75, 2.164, 24, 1 3 3
44.07, 2.055, 18, 1 3 -5

Crystal structure
```
data_SrRe2O8
_chemical_formula_sum 'Sr4 Re8 O32'
_cell_length_a 6.139
_cell_length_b 9.784
_cell_length_c 13.270
_cell_angle_alpha 90.00
_cell_angle_beta 111.02
_cell_angle_gamma 90.00
_symmetry_space_group_name_H-M 'P 1 21/c 1'
_symmetry_Int_Tables_number 14
loop_
_symmetry_equiv_pos_as_xyz
'x,y,z'
'-x,-y,-z'
'-x,y+1/2,-z+1/2'
'x,-y+1/2,z+1/2'
loop_
_atom_site_label
_atom_site_fract_x
_atom_site_fract_y
_atom_site_fract_z
Sr1 0.161 0.247 0.364
Re1 0.171 0.654 0.423
Re2 0.390 0.028 0.659
O1 0.020 0.168 0.007
O2 0.120 0.501 0.351
O3 0.122 0.710 0.830
O4 0.176 0.591 0.155
O5 0.329 0.090 0.527
O6 0.340 0.056 0.296
O7 0.398 0.162 0.747
O8 0.460 0.659 0.512
```

---

CsCuAg2Se2: simulated XRD peak list (λ = 1.5418 Å (Cu Kα)), based on the PBE geometry in OQMD.

Principal peaks in the range 15 to 90 degrees two-theta, by angle:
two_theta, d (Å), I_rel, (hkl)
21.47, 4.138, 100, 1 1 -1
22.62, 3.931, 78, 2 0 1
25.33, 3.516, 22, 0 0 2
32.82, 2.729, 27, 0 2 1
33.71, 2.658, 18, 3 1 -1
35.52, 2.527, 35, 2 2 0
37.61, 2.391, 22, 2 2 -1
43.75, 2.069, 31, 2 2 -2
44.52, 2.035, 32, 2 2 2
44.69, 2.028, 20, 4 0 -2

Crystal structure
```
data_CsCuAg2Se2
_chemical_formula_sum 'Cs2 Cu2 Ag4 Se4'
_cell_length_a 9.704
_cell_length_b 5.922
_cell_length_c 7.035
_cell_angle_alpha 90.00
_cell_angle_beta 91.91
_cell_angle_gamma 90.00
_symmetry_space_group_name_H-M 'C 1 2/m 1'
_symmetry_Int_Tables_number 12
loop_
_symmetry_equiv_pos_as_xyz
'x,y,z'
'-x,-y,-z'
'-x,y,-z'
'x,-y,z'
'x+1/2,y+1/2,z'
'-x+1/2,-y+1/2,-z'
'-x+1/2,y+1/2,-z'
'x+1/2,-y+1/2,z'
loop_
_atom_site_label
_atom_site_fract_x
_atom_site_fract_y
_atom_site_fract_z
Cs1 0.000 0.000 0.000
Cu1 0.000 0.500 0.500
Ag1 0.250 0.250 0.500
Se1 0.152 0.500 0.756
```

---

Ni5W7: simulated XRD peak list (λ = 1.5418 Å (Cu Kα)), based on the PBE geometry in OQMD.

Principal peaks in the range 15 to 90 degrees two-theta, by angle:
two_theta, d (Å), I_rel, (hkl)
30.74, 2.908, 23, 1 0 4
36.16, 2.484, 38, 1 1 0
40.18, 2.244, 73, 1 0 6
42.00, 2.151, 21, 2 0 0
43.02, 2.102, 100, 1 1 4
43.60, 2.076, 83, 2 0 2
67.74, 1.383, 29, 2 1 6
69.77, 1.348, 24, 3 0 4
74.57, 1.273, 33, 2 0 10
76.73, 1.242, 28, 2 2 0

Crystal structure
```
data_Ni5W7
_chemical_formula_sum 'Ni10 W14'
_cell_length_a 4.9685
_cell_length_b 4.9685
_cell_length_c 15.7840
_cell_angle_alpha 90.00
_cell_angle_beta 90.00
_cell_angle_gamma 120.00
_symmetry_space_group_name_H-M 'P 63/m m c'
_symmetry_Int_Tables_number 194
_symmetry_space_group_name_Hall '-P 6c 2c'
loop_
_atom_site_label
_atom_site_fract_x
_atom_site_fract_y
_atom_site_fract_z
Ni1 0.1594 0.3189 0.2500
Ni2 0.3333 0.6667 0.1329
W1 0.0000 0.0000 0.1027
W2 0.0000 0.5000 0.0000
W3 0.3333 0.6667 0.6623
```

---

HfO2: simulated XRD peak list (λ = 1.5418 Å (Cu Kα)), based on the PBE geometry in OQMD.

Principal peaks in the range 15 to 90 degrees two-theta, by angle:
two_theta, d (Å), I_rel, (hkl)
23.94, 3.717, 18, 1 1 0
29.66, 3.012, 100, 1 1 1
34.90, 2.570, 15, 0 0 2
36.25, 2.478, 15, 0 2 1
36.44, 2.465, 12, 2 0 0
51.35, 1.779, 16, 2 0 2
52.35, 1.748, 16, 2 2 1
59.39, 1.556, 15, 1 1 3
61.45, 1.509, 14, 3 1 1
64.10, 1.453, 12, 1 3 2

Crystal structure
```
data_HfO2
_chemical_formula_sum 'Hf4 O8'
_cell_length_a 4.931
_cell_length_b 5.656
_cell_length_c 5.141
_cell_angle_alpha 90.00
_cell_angle_beta 90.00
_cell_angle_gamma 90.00
_symmetry_space_group_name_H-M 'P b c n'
_symmetry_Int_Tables_number 60
loop_
_symmetry_equiv_pos_as_xyz
'x,y,z'
'-x,-y,-z'
'-x+1/2,-y+1/2,z+1/2'
'x+1/2,y+1/2,-z+1/2'
'x+1/2,-y+1/2,-z'
'-x+1/2,y+1/2,z'
'-x,y,-z+1/2'
'x,-y,z+1/2'
loop_
_atom_site_label
_atom_site_fract_x
_atom_site_fract_y
_atom_site_fract_z
Hf1 0.000 0.186 0.250
O1 0.228 0.099 0.573
```

---

Nb2SnAs: simulated XRD peak list (λ = 1.5418 Å (Cu Kα)), based on the PBE geometry in OQMD.

Principal peaks in the range 15 to 90 degrees two-theta, by angle:
two_theta, d (Å), I_rel, (hkl)
33.16, 2.702, 100, 1 0 2
35.48, 2.530, 55, 1 0 3
38.54, 2.336, 61, 1 0 4
42.19, 2.142, 81, 1 0 5
45.03, 2.013, 25, 0 0 8
46.33, 1.960, 15, 1 0 6
55.49, 1.656, 54, 1 1 0
66.59, 1.404, 24, 1 0 10
72.09, 1.310, 16, 2 0 5
74.14, 1.279, 34, 1 1 8

Crystal structure
```
data_Nb2SnAs
_chemical_formula_sum 'Nb4 Sn2 As2'
_cell_length_a 3.3120
_cell_length_b 3.3120
_cell_length_c 16.1054
_cell_angle_alpha 90.00
_cell_angle_beta 90.00
_cell_angle_gamma 120.00
_symmetry_space_group_name_H-M 'P 63/m m c'
_symmetry_Int_Tables_number 194
_symmetry_space_group_name_Hall '-P 6c 2c'
loop_
_atom_site_label
_atom_site_fract_x
_atom_site_fract_y
_atom_site_fract_z
Nb1 0.3333 0.6667 0.1404
Sn1 0.0000 0.0000 0.0000
As1 0.3333 0.6667 0.7500
```